Starting from a GGA+U-relaxed structure, the powder X-ray diffraction pattern of Mn3O4F2 was calculated for CuKα.

Principal peaks in the range 2θ = 5–70°, sorted by position:
| hkl | 2theta | intensity |
| --- | --- | --- |
| 1 1 -1 | 27.37 | 100 |
| 3 0 0 | 35.10 | 42 |
| 1 0 2 | 35.18 | 13 |
| 3 1 0 | 40.31 | 9 |
| 4 1 -1 | 53.49 | 29 |
| 0 1 3 | 53.63 | 30 |
| 2 2 -2 | 56.49 | 17 |
| 4 0 2 | 60.28 | 9 |
| 3 1 -3 | 63.89 | 9 |
| 2 3 1 | 68.29 | 9 |

Cell and atoms:
Cell: 7.6919 4.6071 5.5275 Å, 90.00 93.28 90.00°
Space group P2_1/c (No. 14)
Unique sites:
Mn1 0.0000 0.0000 0.0000 [2 per cell]
Mn2 0.3402 0.0304 0.3326 [4 per cell]
O1 0.1079 0.1908 0.2972 [4 per cell]
O2 0.4402 0.1904 0.6293 [4 per cell]
F1 0.2463 0.7069 0.5383 [4 per cell]